This entry pairs a crystal structure of CsC3Se3N3 with its simulated XRD peak list. Radiation: Cu Kα (weighted mean of Kα1 and Kα2). Structure: the PBE geometry in the Materials Project.
Intensities are scaled so that the largest is 100.

The 8 most intense peaks (15 to 90 degrees two-theta), low angle first:
d [Å]  2θ/deg  I (rel.)
4.320  20.56  17
4.172  21.30  100
3.912  22.73  21
3.312  26.92  17
3.051  29.27  23
3.026  29.52  20
1.836  49.64  19
1.823  50.03  16

```
20
Lattice="4.249 -10.826 0.000 4.249 10.826 0.000 -0.916 0.000 5.712" Properties=species:S:1:pos:R:3 pbc="T T T"
Cs 3.562 5.971 4.284
Cs 4.020 -5.971 1.428
C 1.134 2.589 4.672
C 1.592 -2.589 1.816
C 4.020 3.092 1.428
C 3.562 -3.092 4.284
C 5.989 2.589 3.896
C 6.447 -2.589 1.040
Se 1.617 1.302 0.182
Se 1.159 -1.302 3.039
Se 4.020 1.255 1.428
Se 3.562 -1.255 4.284
Se 6.423 1.302 2.674
Se 5.965 -1.302 5.530
N 1.391 3.455 3.920
N 4.020 4.266 1.428
N 1.849 -3.455 1.064
N 5.733 3.455 4.648
N 3.562 -4.266 4.284
N 6.191 -3.455 1.792
```

---

This entry pairs a crystal structure of Li7SbO6 with its simulated XRD peak list. Radiation: Cu Kα (weighted mean of Kα1 and Kα2). Structure: the PBE geometry in the Materials Project.
Intensities are scaled so that the largest is 100.

The 8 most intense peaks (15 to 90 degrees two-theta), low angle first:
d [Å]  2θ/deg  I (rel.)
5.074  17.48  63
4.562  19.46  100
4.454  19.94  41
4.043  21.98  70
3.983  22.32  39
2.439  36.85  25
2.423  37.10  26
2.364  38.07  29

```
14
Lattice="5.423 0.000 0.000 2.655 4.785 0.000 2.554 1.584 5.074" Properties=species:S:1:pos:R:3 pbc="T T T"
Li 0.000 0.000 0.000
Li 4.043 4.811 3.798
Li 3.224 3.064 2.196
Li 2.677 1.713 0.035
Li 4.501 1.626 3.738
Li 4.996 2.855 0.010
Li 6.222 1.559 1.900
Sb 6.094 4.646 1.968
O 2.618 1.326 3.111
O 4.519 4.753 0.654
O 5.118 3.311 3.117
O 4.337 1.322 0.879
O 7.743 4.678 3.128
O 6.933 3.210 0.749
```

---

This entry pairs a crystal structure of Rb2HfS4 with its simulated XRD peak list. Radiation: Cu Kα (weighted mean of Kα1 and Kα2). Structure: the PBE geometry in the Materials Project.
Intensities are scaled so that the largest is 100.

The 8 most intense peaks (15 to 90 degrees two-theta), low angle first:
d [Å]  2θ/deg  I (rel.)
3.942  22.56  94
3.751  23.72  88
3.670  24.25  82
3.181  28.05  50
2.957  30.23  100
2.783  32.16  90
2.057  44.02  41
1.938  46.89  39

```
56
Lattice="6.780 0.000 0.000 0.000 24.327 0.000 0.000 0.000 9.887" Properties=species:S:1:pos:R:3 pbc="T T T"
Rb 0.311 4.845 0.714
Rb 0.311 7.319 5.658
Rb 1.307 12.982 3.542
Rb 1.307 23.509 8.486
Rb 2.083 0.818 3.542
Rb 2.083 11.346 8.486
Rb 3.080 17.008 0.714
Rb 3.080 19.483 5.658
Rb 3.701 4.845 4.230
Rb 3.701 7.319 9.173
Rb 4.697 12.982 1.401
Rb 4.697 23.509 6.345
Rb 5.473 0.818 1.401
Rb 5.473 11.346 6.345
Rb 6.470 17.008 4.230
Rb 6.470 19.483 9.173
Hf 0.226 3.181 6.670
Hf 0.226 8.982 1.726
Hf 3.164 15.345 6.670
Hf 3.164 21.146 1.726
Hf 3.616 3.181 8.161
Hf 3.616 8.982 3.217
Hf 6.554 15.345 8.161
Hf 6.554 21.146 3.217
S 0.351 3.862 4.177
S 0.351 8.302 9.121
S 0.840 14.322 0.393
S 0.840 22.169 5.337
S 1.056 13.841 6.641
S 1.056 22.650 1.697
S 1.575 17.027 7.625
S 1.575 19.464 2.682
S 1.815 4.864 7.625
S 1.815 7.300 2.682
S 2.334 1.677 6.641
S 2.334 10.487 1.697
S 2.550 2.159 0.393
S 2.550 10.005 5.337
S 3.039 16.026 4.177
S 3.039 20.465 9.121
S 3.741 3.862 0.767
S 3.741 8.302 5.710
S 4.230 14.322 4.551
S 4.230 22.169 9.494
S 4.446 13.841 8.190
S 4.446 22.650 3.246
S 4.965 17.027 7.206
S 4.965 19.464 2.262
S 5.205 4.864 7.206
S 5.205 7.300 2.262
S 5.724 1.677 8.190
S 5.724 10.487 3.246
S 5.940 2.159 4.551
S 5.940 10.005 9.494
S 6.429 16.026 0.767
S 6.429 20.465 5.710
```

---

This entry pairs a crystal structure of Mg7Si4 with its simulated XRD peak list. Radiation: Cu Kα (weighted mean of Kα1 and Kα2). Structure: the PBE geometry in the Materials Project.
Intensities are scaled so that the largest is 100.

The 8 most intense peaks (15 to 90 degrees two-theta), low angle first:
d [Å]  2θ/deg  I (rel.)
2.707  33.10  45
2.630  34.09  59
2.559  35.07  100
2.536  35.40  50
2.479  36.24  60
2.434  36.93  51
2.290  39.34  49
2.281  39.51  40

```
22
Lattice="5.547 0.000 0.000 0.066 6.141 0.000 2.601 1.598 12.861" Properties=species:S:1:pos:R:3 pbc="T T T"
Mg 0.000 0.000 0.000
Mg 0.729 5.381 2.893
Mg 2.602 4.184 8.214
Mg 2.613 1.066 7.424
Mg 3.760 6.333 10.270
Mg 4.533 3.245 10.905
Mg 2.791 1.287 1.193
Mg 3.514 4.232 1.807
Mg 4.465 4.079 5.294
Mg 5.305 5.507 7.810
Mg 5.409 2.442 8.104
Mg 5.159 1.097 5.330
Mg 7.136 4.592 12.012
Mg 5.726 2.313 2.389
Si 1.542 3.012 5.730
Si 1.695 5.393 5.542
Si 1.522 3.531 0.051
Si 2.952 2.302 3.799
Si 3.345 6.066 3.759
Si 5.492 7.039 12.234
Si 6.598 6.390 10.004
Si 7.382 2.507 10.192
```

---

This entry pairs a crystal structure of PmTlAu2 with its simulated XRD peak list. Radiation: Cu Kα (weighted mean of Kα1 and Kα2). Structure: the PBE geometry in the Materials Project.
Intensities are scaled so that the largest is 100.

The 8 most intense peaks (15 to 90 degrees two-theta), low angle first:
d [Å]  2θ/deg  I (rel.)
4.159  21.36  1
3.602  24.72  1
2.547  35.24  100
2.172  41.58  1
1.801  50.69  18
1.470  63.24  37
1.273  74.51  12
1.139  85.20  17

```
4
Lattice="0.000 3.602 3.602 3.602 0.000 3.602 3.602 3.602 0.000" Properties=species:S:1:pos:R:3 pbc="T T T"
Pm 0.000 0.000 0.000
Tl 3.602 3.602 3.602
Au 1.801 1.801 1.801
Au 5.403 5.403 5.403
```